The following is a simulated X-ray diffraction stick pattern of TmNi4P2. It was derived from a PBE-relaxed structure, using Cu Kα X-rays.
Kinematic intensities with the Lorentz-polarization factor, no thermal factor.

Structural model:
a = 7.021 Å, b = 7.021 Å, c = 3.587 Å
α = 90.00°, β = 90.00°, γ = 90.00°
Space group P4_2/mnm (No. 136)
One atom of each set of equivalent atoms:
1 Tm 0.000 0.000 0.000 x2
2 Ni 0.086 0.337 0.500 x8
3 P 0.219 0.781 0.500 x4

Most intense lines, 10 to 80 degrees two-theta, by angle:
2θ/deg  Rel. int.  hkl
27.93  20  1 0 1
38.09  100  2 1 1
40.64  46  3 1 0
44.38  21  2 2 1
48.20  19  3 1 1
50.92  18  0 0 2
67.09  20  3 1 2
72.26  23  5 0 1